(1)
Computed X-ray powder pattern
Compound: SrVCu3Se4
Radiation: copper Kα
Structure: a DFT-relaxed cell (PBE, the Materials Project)
Neutral-atom scattering factors, no anomalous dispersion.

The 6 most intense peaks (2θ from 10° to 80°), sorted by position:
hkl 1 1 1, 25.41°, d = 3.505 Å, intensity 100
hkl 2 2 0, 42.10°, d = 2.146 Å, intensity 100
hkl 3 1 1, 49.82°, d = 1.830 Å, intensity 42
hkl 4 0 0, 61.06°, d = 1.518 Å, intensity 14
hkl 3 3 1, 67.22°, d = 1.393 Å, intensity 14
hkl 4 2 2, 76.95°, d = 1.239 Å, intensity 27

Cell and atoms:
a = 6.0705 Å, b = 6.0705 Å, c = 6.0705 Å
α = 90.00°, β = 90.00°, γ = 90.00°
Atoms (fractional coordinates):
Sr 0.0000 0.0000 0.0000
V 0.5000 0.5000 0.5000
Cu 0.0000 0.5000 0.5000
Cu 0.5000 0.0000 0.5000
Cu 0.5000 0.5000 0.0000
Se 0.2741 0.2741 0.7259
Se 0.2741 0.7259 0.2741
Se 0.7259 0.2741 0.2741
Se 0.7259 0.7259 0.7259



(2)
Computed X-ray powder pattern
Compound: SrYCu3Se4
Radiation: copper Kα
Structure: a DFT-relaxed cell (PBE, the Materials Project)
Neutral-atom scattering factors, no anomalous dispersion.

The 6 most intense peaks (2θ from 10° to 80°), sorted by position:
hkl 1 1 0, 19.98°, d = 4.445 Å, intensity 17
hkl 1 1 1, 24.53°, d = 3.629 Å, intensity 75
hkl 2 2 0, 40.60°, d = 2.222 Å, intensity 100
hkl 3 1 1, 48.01°, d = 1.895 Å, intensity 34
hkl 4 0 0, 58.76°, d = 1.571 Å, intensity 16
hkl 4 2 2, 73.86°, d = 1.283 Å, intensity 31

Cell and atoms:
a = 6.2855 Å, b = 6.2855 Å, c = 6.2855 Å
α = 90.00°, β = 90.00°, γ = 90.00°
Atoms (fractional coordinates):
Sr 0.0000 0.0000 0.0000
Y 0.5000 0.5000 0.5000
Cu 0.0000 0.5000 0.5000
Cu 0.5000 0.0000 0.5000
Cu 0.5000 0.5000 0.0000
Se 0.2627 0.2627 0.7373
Se 0.2627 0.7373 0.2627
Se 0.7373 0.2627 0.2627
Se 0.7373 0.7373 0.7373